Entry 1:
This entry pairs a crystal structure of MnCr2Rh4 with its calculated XRD peak list. Radiation: Cu Kα (λ = 1.5418 Å). Structure: a GGA-PBE-relaxed structure.
Peak positions follow from Bragg's law for the DFT cell and can differ from measured ones.

Largest 10 diffraction maxima, most intense first, 10° ≤ 2θ ≤ 90°:
- 42.8°, intensity 100
- 32.4°, intensity 24
- 45.2°, intensity 20
- 47.7°, intensity 19
- 27.2°, intensity 14
- 85.4°, intensity 12
- 81.7°, intensity 11
- 67.8°, intensity 11
- 43.6°, intensity 9
- 29.3°, intensity 8

Structural model:
a = 6.567 Å, b = 8.025 Å, c = 3.814 Å
α = 90.00°, β = 90.00°, γ = 90.00°
Fractional coordinates of all 14 atoms:
Mn 0.000 0.000 0.000
Mn 0.500 0.500 0.000
Cr 0.000 0.219 0.500
Cr 0.000 0.781 0.500
Cr 0.500 0.281 0.500
Cr 0.500 0.719 0.500
Rh 0.206 0.500 0.500
Rh 0.250 0.250 0.000
Rh 0.250 0.750 0.000
Rh 0.294 0.000 0.500
Rh 0.706 0.000 0.500
Rh 0.750 0.250 0.000
Rh 0.750 0.750 0.000
Rh 0.794 0.500 0.500

Entry 2:
This entry pairs a crystal structure of ZrMn2S4 with its calculated XRD peak list. Radiation: Cu Kα (λ = 1.5418 Å). Structure: a GGA-PBE-relaxed structure.
Peak positions follow from Bragg's law for the DFT cell and can differ from measured ones.

Largest 10 diffraction maxima, most intense first, 10° ≤ 2θ ≤ 90°:
- 27.9°, intensity 100
- 48.6°, intensity 87
- 33.8°, intensity 59
- 28.0°, intensity 49
- 44.4°, intensity 45
- 48.5°, intensity 43
- 14.5°, intensity 36
- 23.7°, intensity 30
- 34.0°, intensity 29
- 60.5°, intensity 19

Structural model:
a = 7.508 Å, b = 7.508 Å, c = 10.559 Å
α = 90.00°, β = 90.00°, γ = 90.00°
Fractional coordinates of all 28 atoms:
Zr 0.000 0.263 0.000
Zr 0.000 0.737 0.500
Zr 0.263 0.000 0.750
Zr 0.737 0.000 0.250
Mn 0.251 0.500 0.750
Mn 0.252 0.252 0.375
Mn 0.252 0.748 0.125
Mn 0.500 0.251 0.000
Mn 0.500 0.749 0.500
Mn 0.748 0.252 0.625
Mn 0.748 0.748 0.875
Mn 0.749 0.500 0.250
S 0.012 0.246 0.755
S 0.012 0.754 0.745
S 0.246 0.012 0.995
S 0.246 0.988 0.505
S 0.252 0.487 0.993
S 0.252 0.513 0.507
S 0.487 0.252 0.757
S 0.487 0.748 0.743
S 0.513 0.252 0.243
S 0.513 0.748 0.257
S 0.748 0.487 0.007
S 0.748 0.513 0.493
S 0.754 0.012 0.005
S 0.754 0.988 0.495
S 0.988 0.246 0.245
S 0.988 0.754 0.255

Entry 3:
This entry pairs a crystal structure of Li2AuCl6 with its calculated XRD peak list. Radiation: Cu Kα (λ = 1.5418 Å). Structure: a GGA-PBE-relaxed structure.
Peak positions follow from Bragg's law for the DFT cell and can differ from measured ones.

Largest 10 diffraction maxima, most intense first, 10° ≤ 2θ ≤ 90°:
- 16.4°, intensity 100
- 20.0°, intensity 43
- 15.6°, intensity 40
- 16.2°, intensity 38
- 16.7°, intensity 36
- 25.1°, intensity 29
- 40.7°, intensity 22
- 33.4°, intensity 21
- 26.6°, intensity 20
- 32.7°, intensity 18

Structural model:
a = 6.341 Å, b = 6.214 Å, c = 12.236 Å
α = 90.00°, β = 116.50°, γ = 90.00°
Fractional coordinates of all 18 atoms:
Li 0.148 0.018 0.173
Li 0.148 0.482 0.673
Li 0.852 0.518 0.327
Li 0.852 0.982 0.827
Au 0.500 0.000 0.000
Au 0.500 0.500 0.500
Cl 0.150 0.236 0.834
Cl 0.150 0.264 0.334
Cl 0.201 0.718 0.506
Cl 0.201 0.782 0.006
Cl 0.481 0.209 0.156
Cl 0.481 0.291 0.656
Cl 0.519 0.709 0.344
Cl 0.519 0.791 0.844
Cl 0.799 0.218 0.994
Cl 0.799 0.282 0.494
Cl 0.850 0.736 0.666
Cl 0.850 0.764 0.166

Entry 4:
This entry pairs a crystal structure of RbYAgCl6 with its calculated XRD peak list. Radiation: Cu Kα (λ = 1.5418 Å). Structure: a GGA-PBE-relaxed structure.
Peak positions follow from Bragg's law for the DFT cell and can differ from measured ones.

Largest 10 diffraction maxima, most intense first, 10° ≤ 2θ ≤ 90°:
- 12.1°, intensity 100
- 18.3°, intensity 92
- 36.7°, intensity 89
- 19.6°, intensity 89
- 19.4°, intensity 81
- 33.6°, intensity 53
- 29.4°, intensity 50
- 44.4°, intensity 50
- 35.5°, intensity 42
- 26.8°, intensity 38

Structural model:
a = 6.796 Å, b = 6.796 Å, c = 7.351 Å
α = 92.07°, β = 92.07°, γ = 115.66°
Fractional coordinates of all 9 atoms:
Rb 0.000 0.000 0.000
Y 0.335 0.665 0.500
Ag 0.680 0.320 0.500
Cl 0.016 0.355 0.680
Cl 0.034 0.625 0.259
Cl 0.375 0.966 0.741
Cl 0.400 0.361 0.293
Cl 0.639 0.600 0.707
Cl 0.645 0.984 0.320

Entry 5:
This entry pairs a crystal structure of HoHg5Pb2 with its calculated XRD peak list. Radiation: Cu Kα (λ = 1.5418 Å). Structure: a GGA-PBE-relaxed structure.
Peak positions follow from Bragg's law for the DFT cell and can differ from measured ones.

Largest 10 diffraction maxima, most intense first, 10° ≤ 2θ ≤ 90°:
- 32.9°, intensity 100
- 38.3°, intensity 38
- 65.8°, intensity 28
- 54.9°, intensity 20
- 37.8°, intensity 14
- 55.3°, intensity 14
- 68.9°, intensity 10
- 65.1°, intensity 8
- 82.0°, intensity 5
- 75.5°, intensity 3

Structural model:
a = 4.701 Å, b = 4.701 Å, c = 19.052 Å
α = 90.00°, β = 90.00°, γ = 90.00°
Fractional coordinates of all 16 atoms:
Ho 0.000 0.000 0.000
Ho 0.500 0.500 0.500
Hg 0.000 0.000 0.500
Hg 0.000 0.500 0.116
Hg 0.000 0.500 0.384
Hg 0.000 0.500 0.616
Hg 0.000 0.500 0.884
Hg 0.500 0.000 0.116
Hg 0.500 0.000 0.384
Hg 0.500 0.000 0.616
Hg 0.500 0.000 0.884
Hg 0.500 0.500 0.000
Pb 0.000 0.000 0.235
Pb 0.000 0.000 0.765
Pb 0.500 0.500 0.265
Pb 0.500 0.500 0.735

Entry 6:
This entry pairs a crystal structure of Nd2Dy12Er5 with its calculated XRD peak list. Radiation: Cu Kα (λ = 1.5418 Å). Structure: a GGA-PBE-relaxed structure.
Peak positions follow from Bragg's law for the DFT cell and can differ from measured ones.

Largest 10 diffraction maxima, most intense first, 10° ≤ 2θ ≤ 90°:
- 31.5°, intensity 100
- 31.7°, intensity 98
- 30.7°, intensity 78
- 33.5°, intensity 74
- 31.2°, intensity 54
- 31.9°, intensity 53
- 35.6°, intensity 50
- 60.2°, intensity 42
- 36.5°, intensity 40
- 55.7°, intensity 35

Structural model:
a = 9.114 Å, b = 9.114 Å, c = 8.503 Å
α = 90.82°, β = 90.82°, γ = 60.62°
Fractional coordinates of all 19 atoms:
Nd 0.184 0.816 0.000
Nd 0.816 0.184 0.000
Dy 0.059 0.059 0.330
Dy 0.066 0.682 0.347
Dy 0.162 0.524 0.756
Dy 0.318 0.934 0.653
Dy 0.406 0.406 0.117
Dy 0.476 0.838 0.244
Dy 0.524 0.162 0.756
Dy 0.594 0.594 0.883
Dy 0.682 0.066 0.347
Dy 0.838 0.476 0.244
Dy 0.934 0.318 0.653
Dy 0.941 0.941 0.670
Er 0.197 0.197 0.009
Er 0.268 0.268 0.424
Er 0.500 0.500 0.500
Er 0.732 0.732 0.576
Er 0.803 0.803 0.991

Entry 7:
This entry pairs a crystal structure of Ba5In4I with its calculated XRD peak list. Radiation: Cu Kα (λ = 1.5418 Å). Structure: a GGA-PBE-relaxed structure.
Peak positions follow from Bragg's law for the DFT cell and can differ from measured ones.

Largest 10 diffraction maxima, most intense first, 10° ≤ 2θ ≤ 90°:
- 29.1°, intensity 100
- 29.6°, intensity 52
- 52.2°, intensity 38
- 42.3°, intensity 19
- 51.4°, intensity 16
- 84.7°, intensity 10
- 60.4°, intensity 10
- 69.6°, intensity 9
- 69.3°, intensity 8
- 84.0°, intensity 8

Structural model:
a = 4.273 Å, b = 4.273 Å, c = 22.008 Å
α = 90.00°, β = 90.00°, γ = 90.00°
Fractional coordinates of all 10 atoms:
Ba 0.000 0.000 0.000
Ba 0.000 0.000 0.194
Ba 0.000 0.000 0.384
Ba 0.000 0.000 0.616
Ba 0.000 0.000 0.806
In 0.500 0.500 0.100
In 0.500 0.500 0.290
In 0.500 0.500 0.710
In 0.500 0.500 0.900
I 0.500 0.500 0.500

Entry 8:
This entry pairs a crystal structure of Dy2Er8Tm3 with its calculated XRD peak list. Radiation: Cu Kα (λ = 1.5418 Å). Structure: a GGA-PBE-relaxed structure.
Peak positions follow from Bragg's law for the DFT cell and can differ from measured ones.

Largest 10 diffraction maxima, most intense first, 10° ≤ 2θ ≤ 90°:
- 34.0°, intensity 100
- 32.5°, intensity 39
- 31.2°, intensity 31
- 59.0°, intensity 27
- 30.0°, intensity 26
- 25.4°, intensity 19
- 35.6°, intensity 13
- 49.0°, intensity 10
- 41.7°, intensity 10
- 59.8°, intensity 9

Structural model:
a = 10.751 Å, b = 10.751 Å, c = 5.506 Å
α = 90.00°, β = 90.00°, γ = 139.28°
Fractional coordinates of all 13 atoms:
Dy 0.241 0.759 0.000
Dy 0.759 0.241 0.000
Er 0.132 0.868 0.500
Er 0.179 0.395 0.000
Er 0.335 0.665 0.500
Er 0.395 0.179 0.000
Er 0.605 0.821 0.000
Er 0.665 0.335 0.500
Er 0.821 0.605 0.000
Er 0.868 0.132 0.500
Tm 0.000 0.000 0.000
Tm 0.283 0.283 0.500
Tm 0.717 0.717 0.500

Entry 9:
This entry pairs a crystal structure of Cs3In2Au3 with its calculated XRD peak list. Radiation: Cu Kα (λ = 1.5418 Å). Structure: a GGA-PBE-relaxed structure.
Peak positions follow from Bragg's law for the DFT cell and can differ from measured ones.

Largest 10 diffraction maxima, most intense first, 10° ≤ 2θ ≤ 90°:
- 31.2°, intensity 100
- 13.3°, intensity 99
- 28.4°, intensity 82
- 28.0°, intensity 56
- 42.3°, intensity 52
- 28.7°, intensity 48
- 25.7°, intensity 42
- 41.7°, intensity 40
- 34.1°, intensity 34
- 29.4°, intensity 30

Structural model:
a = 7.383 Å, b = 7.383 Å, c = 19.856 Å
α = 90.00°, β = 90.00°, γ = 145.85°
Fractional coordinates of all 16 atoms:
Cs 0.064 0.936 0.750
Cs 0.125 0.875 0.541
Cs 0.125 0.875 0.959
Cs 0.875 0.125 0.041
Cs 0.875 0.125 0.459
Cs 0.936 0.064 0.250
In 0.197 0.803 0.158
In 0.197 0.803 0.342
In 0.803 0.197 0.658
In 0.803 0.197 0.842
Au 0.330 0.670 0.750
Au 0.423 0.577 0.615
Au 0.423 0.577 0.885
Au 0.577 0.423 0.115
Au 0.577 0.423 0.385
Au 0.670 0.330 0.250

Entry 10:
This entry pairs a crystal structure of Ba2Ge with its calculated XRD peak list. Radiation: Cu Kα (λ = 1.5418 Å). Structure: a GGA-PBE-relaxed structure.
Peak positions follow from Bragg's law for the DFT cell and can differ from measured ones.

Largest 10 diffraction maxima, most intense first, 10° ≤ 2θ ≤ 90°:
- 26.0°, intensity 100
- 27.9°, intensity 78
- 32.9°, intensity 49
- 30.9°, intensity 45
- 26.4°, intensity 39
- 32.5°, intensity 23
- 50.7°, intensity 23
- 28.1°, intensity 22
- 36.0°, intensity 17
- 46.9°, intensity 16

Structural model:
a = 8.575 Å, b = 5.451 Å, c = 10.252 Å
α = 90.00°, β = 90.00°, γ = 90.00°
Fractional coordinates of all 12 atoms:
Ba 0.021 0.250 0.170
Ba 0.145 0.250 0.583
Ba 0.355 0.750 0.083
Ba 0.479 0.750 0.670
Ba 0.521 0.250 0.330
Ba 0.645 0.250 0.917
Ba 0.855 0.750 0.417
Ba 0.979 0.750 0.830
Ge 0.249 0.250 0.898
Ge 0.251 0.750 0.398
Ge 0.749 0.250 0.602
Ge 0.751 0.750 0.102

Entry 11:
This entry pairs a crystal structure of Ho2Zr2O7 with its calculated XRD peak list. Radiation: Cu Kα (λ = 1.5418 Å). Structure: a GGA-PBE-relaxed structure.
Peak positions follow from Bragg's law for the DFT cell and can differ from measured ones.

Largest 10 diffraction maxima, most intense first, 10° ≤ 2θ ≤ 90°:
- 29.1°, intensity 100
- 30.0°, intensity 94
- 49.1°, intensity 62
- 34.5°, intensity 40
- 58.0°, intensity 29
- 59.5°, intensity 28
- 33.8°, intensity 18
- 48.4°, intensity 17
- 50.7°, intensity 16
- 25.2°, intensity 13

Structural model:
a = 7.520 Å, b = 3.604 Å, c = 10.607 Å
α = 90.00°, β = 90.00°, γ = 90.00°
Fractional coordinates of all 22 atoms:
Ho 0.000 0.000 0.000
Ho 0.250 0.500 0.274
Ho 0.500 0.000 0.000
Ho 0.750 0.500 0.726
Zr 0.000 0.000 0.500
Zr 0.250 0.500 0.746
Zr 0.500 0.000 0.500
Zr 0.750 0.500 0.254
O 0.019 0.500 0.619
O 0.043 0.500 0.130
O 0.250 0.000 0.388
O 0.250 0.000 0.633
O 0.250 0.000 0.881
O 0.457 0.500 0.130
O 0.481 0.500 0.619
O 0.519 0.500 0.381
O 0.543 0.500 0.870
O 0.750 0.000 0.119
O 0.750 0.000 0.367
O 0.750 0.000 0.612
O 0.957 0.500 0.870
O 0.981 0.500 0.381

Entry 12:
This entry pairs a crystal structure of CsPaMn2Te4 with its calculated XRD peak list. Radiation: Cu Kα (λ = 1.5418 Å). Structure: a GGA-PBE-relaxed structure.
Peak positions follow from Bragg's law for the DFT cell and can differ from measured ones.

Largest 10 diffraction maxima, most intense first, 10° ≤ 2θ ≤ 90°:
- 23.1°, intensity 100
- 11.2°, intensity 87
- 22.6°, intensity 55
- 37.7°, intensity 35
- 33.2°, intensity 32
- 32.8°, intensity 28
- 25.3°, intensity 23
- 13.5°, intensity 22
- 34.1°, intensity 20
- 35.7°, intensity 20

Structural model:
a = 5.444 Å, b = 9.872 Å, c = 13.100 Å
α = 90.00°, β = 90.00°, γ = 90.00°
Fractional coordinates of all 16 atoms:
Cs 0.000 0.000 0.000
Cs 0.500 0.500 0.500
Pa 0.000 0.000 0.500
Pa 0.500 0.500 0.000
Mn 0.000 0.500 0.074
Mn 0.000 0.500 0.926
Mn 0.500 0.000 0.426
Mn 0.500 0.000 0.574
Te 0.246 0.189 0.350
Te 0.246 0.811 0.650
Te 0.254 0.311 0.850
Te 0.254 0.689 0.150
Te 0.746 0.311 0.150
Te 0.746 0.689 0.850
Te 0.754 0.189 0.650
Te 0.754 0.811 0.350

Number 6 is which compound?
Nd2Dy12Er5